# 1
Starting from DFT lattice parameters and positions (GGA-PBE), the powder diffraction line list of Rb3Os2O8 was calculated for Cu Ka.
Intensities are scaled so that the largest is 100.

Cell and atoms:
```
data_Rb3Os2O8
_space_group_name_H-M_alt 'R -3 m'
_space_group_IT_number 166
_space_group_name_Hall '-R 3 2"'
_cell_length_a 6.3293
_cell_length_b 6.3293
_cell_length_c 22.6875
_cell_angle_alpha 90.00
_cell_angle_beta 90.00
_cell_angle_gamma 120.00
loop_
_atom_site_label
_atom_site_fract_x
_atom_site_fract_y
_atom_site_fract_z
_atom_site_occupancy
Rb1 0.0000 0.0000 0.0000 1
Rb2 0.0000 0.0000 0.2002 1
Os1 0.0000 0.0000 0.4052 1
O1 0.0000 0.0000 0.3266 1
O2 0.0259 0.5130 0.2343 1
```

Main lines, in order of rising 2θ (2θ from 10° to 90°):
2θ 16.6, intensity 30, hkl 1 0 1; 2θ 25.5, intensity 100, hkl 0 1 5; 2θ 28.2, intensity 88, hkl 1 1 0; 2θ 38.4, intensity 40, hkl 2 0 5; 2θ 43.2, intensity 27, hkl 1 0 10; 2θ 48.3, intensity 33, hkl 1 2 5; 2θ 49.9, intensity 18, hkl 3 0 0; 2θ 58.3, intensity 15, hkl 2 2 0; 2θ 60.5, intensity 21, hkl 2 1 10; 2θ 64.7, intensity 15, hkl 3 1 5

# 2
Starting from DFT lattice parameters and positions (GGA-PBE), the powder diffraction line list of MnCu5 was calculated for Cu Ka.
Intensities are scaled so that the largest is 100.

Cell and atoms:
```
data_MnCu5
_space_group_name_H-M_alt 'P m m n'
_space_group_IT_number 59
_cell_length_a 3.581
_cell_length_b 7.827
_cell_length_c 5.272
_cell_angle_alpha 90.00
_cell_angle_beta 90.00
_cell_angle_gamma 90.00
loop_
_space_group_symop_operation_xyz
'x,y,z'
'-x,-y,-z'
'-x+1/2,-y+1/2,z'
'x+1/2,y+1/2,-z'
'x+1/2,-y,-z'
'-x+1/2,y,z'
'-x,y+1/2,-z'
'x,-y+1/2,z'
loop_
_atom_site_label
_atom_site_fract_x
_atom_site_fract_y
_atom_site_fract_z
_atom_site_occupancy
Mn1 0.250 0.250 0.123 1
Cu1 0.250 0.250 0.622 1
Cu2 0.250 0.583 0.128 1
Cu3 0.250 0.583 0.623 1
```

Main lines, in order of rising 2θ (2θ from 10° to 90°):
2θ 42.6, intensity 100, hkl 1 0 2; 2θ 42.9, intensity 98, hkl 1 3 0; 2θ 49.1, intensity 64, hkl 0 3 2; 2θ 51.0, intensity 28, hkl 2 0 0; 2θ 71.6, intensity 9, hkl 0 0 4; 2θ 72.4, intensity 9, hkl 0 6 0; 2θ 73.5, intensity 35, hkl 2 3 2; 2θ 87.2, intensity 22, hkl 1 3 4; 2θ 87.8, intensity 21, hkl 1 6 2

# 3
Starting from DFT lattice parameters and positions (GGA-PBE), the powder diffraction line list of Ce3Pr2S8 was calculated for Cu Ka.
Intensities are scaled so that the largest is 100.

Cell and atoms:
```
data_Ce3Pr2S8
_space_group_name_H-M_alt 'C m m m'
_space_group_IT_number 65
_space_group_name_Hall '-C 2 2'
_cell_length_a 9.802
_cell_length_b 13.815
_cell_length_c 4.775
_cell_angle_alpha 90.00
_cell_angle_beta 90.00
_cell_angle_gamma 90.00
loop_
_atom_site_label
_atom_site_fract_x
_atom_site_fract_y
_atom_site_fract_z
_atom_site_occupancy
Ce1 0.000 0.000 0.000 1
Ce2 0.222 0.500 0.500 1
Pr1 0.000 0.269 0.000 1
S1 0.000 0.115 0.500 1
S2 0.000 0.376 0.500 1
S3 0.239 0.121 0.000 1
```

Main lines, in order of rising 2θ (2θ from 10° to 90°):
2θ 22.2, intensity 35, hkl 2 2 0; 2θ 22.6, intensity 37, hkl 0 2 1; 2θ 26.1, intensity 25, hkl 2 0 1; 2θ 28.4, intensity 18, hkl 1 3 1; 2θ 36.7, intensity 25, hkl 4 0 0; 2θ 37.0, intensity 100, hkl 2 4 1; 2θ 37.7, intensity 27, hkl 0 0 2; 2θ 53.6, intensity 16, hkl 4 0 2; 2θ 66.2, intensity 19, hkl 6 4 1; 2θ 67.6, intensity 16, hkl 2 4 3